Diffraction record for Na2GdMnAs2O9. The powder X-ray diffraction pattern is theoretical, not measured: it uses a DFT-relaxed cell (GGA+U, the Materials Project) and Cu Kα, 1.54184 Å.

Top 10 peaks for 10 to 80 degrees two-theta, sorted by position:
2θ/deg  I/Imax  hkl
15.4  100  0 1 -2
19.3  22  -1 1 1
27.2  29  1 2 2
28.1  18  1 -2 2
29.7  48  1 1 4
30.1  40  1 -1 4
30.4  63  2 0 0
31.0  22  0 2 4
31.1  29  -1 2 3
33.0  37  1 3 0

Atomic structure:
```
data_Na2GdMnAs2O9
_chemical_formula_sum 'Na8 Gd4 Mn4 As8 O36'
_cell_length_a 5.886
_cell_length_b 8.998
_cell_length_c 15.052
_cell_angle_alpha 89.95
_cell_angle_beta 89.96
_cell_angle_gamma 87.61
_symmetry_space_group_name_H-M 'P -1'
_symmetry_Int_Tables_number 2
loop_
_symmetry_equiv_pos_as_xyz
'x,y,z'
'-x,-y,-z'
loop_
_atom_site_label
_atom_site_type_symbol
_atom_site_fract_x
_atom_site_fract_y
_atom_site_fract_z
Na1 Na 0.235 0.401 0.228
Na2 Na 0.236 0.677 0.363
Na3 Na 0.264 0.823 0.863
Na4 Na 0.265 0.099 0.728
Gd1 Gd 0.202 0.783 0.120
Gd2 Gd 0.298 0.718 0.620
Mn1 Mn 0.000 0.000 0.500
Mn2 Mn 0.000 0.500 0.000
Mn3 Mn 0.500 0.000 0.500
Mn4 Mn 0.500 0.500 0.000
As1 As 0.218 0.068 0.297
As2 As 0.240 0.345 0.497
As3 As 0.260 0.155 0.997
As4 As 0.282 0.432 0.797
O1 O 0.002 0.761 0.496
O2 O 0.003 0.199 0.278
O3 O 0.014 0.263 0.022
O4 O 0.022 0.371 0.769
O5 O 0.143 0.902 0.254
O6 O 0.191 0.097 0.892
O7 O 0.206 0.483 0.573
O8 O 0.240 0.021 0.410
O9 O 0.247 0.530 0.079
O10 O 0.254 0.969 0.580
O11 O 0.260 0.479 0.910
O12 O 0.294 0.017 0.074
O13 O 0.309 0.403 0.392
O14 O 0.356 0.597 0.753
O15 O 0.478 0.128 0.269
O16 O 0.486 0.237 0.522
O17 O 0.497 0.301 0.779
O18 O 0.497 0.740 0.997
```